[1]
Starting from a crystal structure in the Materials Project, relaxed with PBE+U, the powder XRD pattern of DyMnO3 was calculated for Cu Kα, 1.54184 Å.
Neutral-atom scattering factors, no anomalous dispersion.

Cell and atoms:
Unit cell a=5.868 b=7.499 c=5.330 alpha=90.00 beta=90.00 gamma=90.00
Space group Pnma (No. 62)
Asymmetric unit:
Dy: 0.082 0.250 0.019
Mn: 0.000 0.000 0.500
O: 0.042 0.750 0.381
O: 0.175 0.557 0.799

Main lines, in order of rising 2θ (15° ≤ 2θ ≤ 90°):
two_theta, I_rel, h k l
22.5, 213, 1 0 1
25.5, 370, 1 1 1
32.8, 224, 2 1 0
33.0, 1000, 1 2 1
33.6, 254, 0 0 2
47.7, 218, 2 1 2
51.2, 252, 3 1 1
59.7, 302, 1 2 3

=====

[2]
Starting from a crystal structure in the Materials Project, relaxed with PBE+U, the powder XRD pattern of DyMn2O4 was calculated for Cu Kα, 1.54184 Å.
Neutral-atom scattering factors, no anomalous dispersion.

Cell and atoms:
Unit cell a=11.377 b=6.227 c=6.282 alpha=90.00 beta=123.07 gamma=90.00
Space group C2/m (No. 12)
Asymmetric unit:
Dy: 0.125 0.000 0.388
Mn: 0.000 0.500 0.000
Mn: 0.000 0.500 0.500
Mn: 0.250 0.250 0.000
O: 0.009 0.279 0.735
O: 0.233 0.500 0.204
O: 0.249 0.000 0.220

Main lines, in order of rising 2θ (15° ≤ 2θ ≤ 90°):
two_theta, I_rel, h k l
27.4, 701, 1 1 1
27.6, 702, 3 1 -1
31.6, 825, 3 1 0
33.2, 353, 1 1 -2
33.4, 1000, 3 1 -2
33.5, 432, 2 2 -1
50.0, 378, 5 1 0
56.6, 353, 2 2 2

=====

[3]
Starting from a crystal structure in the Materials Project, relaxed with PBE+U, the powder XRD pattern of DyMn2O4 was calculated for Cu Kα, 1.54184 Å.
Neutral-atom scattering factors, no anomalous dispersion.

Cell and atoms:
Unit cell a=9.047 b=9.047 c=9.047 alpha=90.00 beta=90.00 gamma=90.00
Space group Fd-3m (No. 227, origin choice 2)
Asymmetric unit:
Dy: 0.125 0.125 0.125
Mn: 0.000 0.000 0.500
O: 0.013 0.013 0.737

Main lines, in order of rising 2θ (15° ≤ 2θ ≤ 90°):
two_theta, I_rel, h k l
17.0, 124, 1 1 1
27.9, 718, 2 2 0
32.8, 1000, 3 1 1
49.4, 290, 4 2 2
52.6, 386, 5 1 1
57.6, 357, 4 4 0
79.2, 154, 6 4 2
81.8, 199, 5 5 3

=====

[4]
Starting from a crystal structure in the Materials Project, relaxed with PBE+U, the powder XRD pattern of DyMnO3 was calculated for Cu Kα, 1.54184 Å.
Neutral-atom scattering factors, no anomalous dispersion.

Cell and atoms:
Unit cell a=6.2279 b=6.2279 c=11.5613 alpha=90.00 beta=90.00 gamma=120.00
Space group P6_3cm (No. 185)
Asymmetric unit:
Dy: 0.0000 0.0000 0.0000
Dy: 0.3333 0.6667 0.4563
Mn: 0.0000 0.3335 0.2251
O: 0.0000 0.0000 0.2011
O: 0.0000 0.3076 0.3897
O: 0.0000 0.3585 0.0606
O: 0.3333 0.6667 0.2454

Main lines, in order of rising 2θ (15° ≤ 2θ ≤ 90°):
two_theta, I_rel, h k l
15.3, 378, 0 0 2
28.7, 485, 1 1 0
29.7, 211, 1 1 1
30.9, 280, 0 0 4
32.7, 1000, 1 1 2
42.7, 339, 1 1 4
50.8, 375, 3 0 0
60.7, 242, 3 0 4